Bi2Rh3S2: theoretical XRD peak list (copper Kα), based on a PBE-relaxed structure.
Peak positions follow from Bragg's law for the DFT cell and can differ from measured ones.

Peak list (10 most intense, 5° ≤ 2θ ≤ 70°, low angle first)
Position (°2θ)	I_rel
15.0	42
30.2	51
30.6	48
37.2	100
37.9	91
43.0	44
43.4	42
44.6	39
62.7	28
63.7	27

Structure:
```
data_Bi2Rh3S2
_chemical_formula_sum 'Bi4 Rh6 S4'
_space_group_name_H-M_alt 'P 1'
_space_group_IT_number 1
_cell_length_a 7.121
_cell_length_b 7.121
_cell_length_c 8.128
_cell_angle_alpha 123.68
_cell_angle_beta 123.68
_cell_angle_gamma 72.50
loop_
_space_group_symop_operation_xyz
'x,y,z'
loop_
_atom_site_label
_atom_site_fract_x
_atom_site_fract_y
_atom_site_fract_z
Bi1 0.001 0.001 0.252
Bi2 0.493 0.493 0.744
Bi3 0.507 0.507 0.256
Bi4 0.999 0.999 0.748
Rh1 0.000 0.500 0.500
Rh2 0.252 0.748 0.500
Rh3 0.256 0.256 0.259
Rh4 0.500 0.000 0.500
Rh5 0.744 0.744 0.741
Rh6 0.748 0.252 0.500
S1 0.045 0.504 0.807
S2 0.496 0.955 0.193
S3 0.504 0.045 0.807
S4 0.955 0.496 0.193
```